1.
The following is a theoretical PXRD pattern of NbNi2Rh6. It was derived from a PBE-relaxed structure, using copper Kα.
Peak positions follow from Bragg's law for the DFT cell and can differ from measured ones.

Most intense lines, 2θ = 15–90°, most intense first:
two_theta  Rel. int.  (hkl)
40.9  100  3 1 0
47.2  16  2 0 3
47.6  16  0 2 0
48.1  15  4 0 -3
84.0  12  3 3 0
69.2  10  2 2 3

Structure:
a = 8.506 Å, b = 3.823 Å, c = 8.089 Å
α = 90.00°, β = 107.43°, γ = 90.00°
Space group C2/m (No. 12)
Inequivalent atoms, fractional coordinates:
Nb: 0.000 0.000 0.000 [2 per cell]
Ni: 0.171 0.500 0.225 [4 per cell]
Rh: 0.005 0.000 0.330 [4 per cell]
Rh: 0.165 0.500 0.553 [4 per cell]
Rh: 0.165 0.500 0.884 [4 per cell]

2.
The following is a theoretical PXRD pattern of Nb2Ni3Rh3. It was derived from a PBE-relaxed structure, using copper Kα.
Peak positions follow from Bragg's law for the DFT cell and can differ from measured ones.

Most intense lines, 2θ = 15–90°, most intense first:
two_theta  Rel. int.  (hkl)
41.1  100  1 1 2
47.3  16  0 2 0
47.4  16  2 0 0
48.6  15  0 0 4
83.7  12  1 3 2
83.9  12  3 1 2

Structure:
a = 3.834 Å, b = 3.844 Å, c = 7.490 Å
α = 90.00°, β = 90.00°, γ = 90.00°
Space group Pmmm (No. 47)
Inequivalent atoms, fractional coordinates:
Nb: 0.000 0.000 0.247 [2 per cell]
Ni: 0.000 0.500 0.000 [1 per cell]
Ni: 0.500 0.500 0.247 [2 per cell]
Rh: 0.000 0.500 0.500 [1 per cell]
Rh: 0.500 0.000 0.000 [1 per cell]
Rh: 0.500 0.000 0.500 [1 per cell]

3.
The following is a theoretical PXRD pattern of NbNi5Rh6. It was derived from a PBE-relaxed structure, using copper Kα.
Peak positions follow from Bragg's law for the DFT cell and can differ from measured ones.

Most intense lines, 2θ = 15–90°, most intense first:
two_theta  Rel. int.  (hkl)
41.6  100  1 2 1
47.5  45  1 2 -2
41.7  33  0 0 3
71.7  25  3 2 0
50.4  19  2 0 2
84.2  16  2 4 -1

Structure:
a = 4.522 Å, b = 5.428 Å, c = 6.501 Å
α = 90.00°, β = 92.91°, γ = 90.00°
Space group P2/m (No. 10)
Inequivalent atoms, fractional coordinates:
Nb: 0.000 0.000 0.000 [1 per cell]
Ni: 0.000 0.500 0.000 [1 per cell]
Ni: 0.333 0.500 0.675 [2 per cell]
Ni: 0.336 0.000 0.666 [2 per cell]
Rh: 0.169 0.253 0.338 [4 per cell]
Rh: 0.500 0.255 0.000 [2 per cell]

4.
The following is a theoretical PXRD pattern of NbNi3Rh. It was derived from a PBE-relaxed structure, using copper Kα.
Peak positions follow from Bragg's law for the DFT cell and can differ from measured ones.

Most intense lines, 2θ = 15–90°, most intense first:
two_theta  Rel. int.  (hkl)
47.0  100  1 3 2
44.1  84  1 5 0
41.8  61  2 0 0
89.3  42  2 8 2
37.9  33  0 2 2
41.3  29  1 1 2

Structure:
a = 4.326 Å, b = 11.676 Å, c = 5.189 Å
α = 90.00°, β = 90.00°, γ = 90.00°
Space group Cmcm (No. 63)
Inequivalent atoms, fractional coordinates:
Nb: 0.000 0.110 0.250 [4 per cell]
Ni: 0.000 0.313 0.005 [8 per cell]
Ni: 0.000 0.496 0.250 [4 per cell]
Rh: 0.000 0.123 0.750 [4 per cell]

5.
The following is a theoretical PXRD pattern of Nb2Ni3Ru3. It was derived from a PBE-relaxed structure, using copper Kα.
Peak positions follow from Bragg's law for the DFT cell and can differ from measured ones.

Most intense lines, 2θ = 15–90°, most intense first:
two_theta  Rel. int.  (hkl)
41.1  100  1 1 2
47.1  17  0 2 0
47.6  16  2 0 0
48.8  15  0 0 4
83.4  12  1 3 2
84.2  12  3 1 2

Structure:
a = 3.820 Å, b = 3.857 Å, c = 7.466 Å
α = 90.00°, β = 90.00°, γ = 90.00°
Space group Pmmm (No. 47)
Inequivalent atoms, fractional coordinates:
Nb: 0.000 0.000 0.247 [2 per cell]
Ni: 0.000 0.500 0.000 [1 per cell]
Ni: 0.500 0.500 0.246 [2 per cell]
Ru: 0.000 0.500 0.500 [1 per cell]
Ru: 0.500 0.000 0.000 [1 per cell]
Ru: 0.500 0.000 0.500 [1 per cell]

6.
The following is a theoretical PXRD pattern of NbNiS. It was derived from a PBE-relaxed structure, using copper Kα.
Peak positions follow from Bragg's law for the DFT cell and can differ from measured ones.

Most intense lines, 2θ = 15–90°, most intense first:
two_theta  Rel. int.  (hkl)
36.2  100  2 0 1
38.3  55  2 1 1
44.7  41  2 3 0
39.0  39  3 1 0
47.7  35  1 3 1
54.3  20  0 0 2

Structure:
a = 7.308 Å, b = 7.308 Å, c = 3.380 Å
α = 90.00°, β = 90.00°, γ = 90.00°
Space group P4_2/m (No. 84)
Inequivalent atoms, fractional coordinates:
Nb: 0.056 0.768 0.000 [4 per cell]
Ni: 0.157 0.435 0.500 [4 per cell]
S: 0.299 0.303 0.000 [4 per cell]